No. 1
# Mn4O7F
Calculated X-ray powder pattern, Cu Kα X-rays. Input: a crystal structure in the Materials Project, relaxed with GGA+U.
Kinematic intensities with the Lorentz-polarization factor, no thermal factor.

Largest 6 diffraction maxima, by angle, 10° ≤ 2θ ≤ 80°:
2θ (°), intensity
25.6, 62
26.1, 56
31.4, 98
31.8, 100
37.6, 48
55.5, 48

Crystal structure
Unit cell a=6.9842 b=4.9530 c=7.1114 alpha=90.00 beta=101.65 gamma=90.00
Sites, in units of the cell vectors:
Mn 0.0000 0.0050 0.0000
Mn 0.0000 0.9950 0.5000
Mn 0.3480 0.4738 0.6348
Mn 0.3480 0.5262 0.1348
Mn 0.5093 0.0116 0.9952
Mn 0.5093 0.9884 0.4952
Mn 0.8571 0.4928 0.6468
Mn 0.8571 0.5072 0.1468
O 0.1020 0.3366 0.1339
O 0.1020 0.6634 0.6339
O 0.2548 0.1558 0.5122
O 0.2548 0.8442 0.0122
O 0.3666 0.3362 0.8981
O 0.3666 0.6638 0.3981
O 0.6015 0.3141 0.6387
O 0.6015 0.6859 0.1387
O 0.7602 0.1835 0.0137
O 0.7602 0.8165 0.5137
O 0.8638 0.3221 0.4019
O 0.8638 0.6779 0.9019
O 0.9909 0.1672 0.7444
O 0.9909 0.8328 0.2444
F 0.4841 0.2069 0.2488
F 0.4841 0.7931 0.7488

***

No. 2
# NbWO7
Calculated X-ray powder pattern, Cu Kα X-rays. Input: a crystal structure in the Materials Project, relaxed with GGA+U.
Kinematic intensities with the Lorentz-polarization factor, no thermal factor.

Largest 6 diffraction maxima, by angle, 10° ≤ 2θ ≤ 80°:
2θ (°), intensity
14.4, 100
14.6, 32
27.9, 34
28.1, 38
29.1, 34
29.4, 36

Crystal structure
Unit cell a=7.4774 b=7.4774 c=7.4774 alpha=119.59 beta=89.90 gamma=120.53
Sites, in units of the cell vectors:
Nb 0.0000 0.0000 0.0000
Nb 0.0000 0.5000 0.5000
W 0.9999 0.9998 0.5000
W 0.4998 0.4998 0.5000
O 0.0580 0.1146 0.8023
O 0.0580 0.7557 0.4433
O 0.0585 0.7482 0.8104
O 0.3051 0.2481 0.5570
O 0.3123 0.2557 0.1977
O 0.3123 0.6146 0.5567
O 0.4548 0.8034 0.1514
O 0.6519 0.3034 0.8486
O 0.6827 0.3803 0.4428
O 0.6827 0.7399 0.8024
O 0.6911 0.7481 0.4430
O 0.9375 0.2399 0.5572
O 0.9378 0.2482 0.1896
O 0.9375 0.8803 0.1976

***

No. 3
# Na3Mn2P2C2O14
Calculated X-ray powder pattern, Cu Kα X-rays. Input: a crystal structure in the Materials Project, relaxed with GGA+U.
Kinematic intensities with the Lorentz-polarization factor, no thermal factor.

Largest 6 diffraction maxima, by angle, 10° ≤ 2θ ≤ 80°:
2θ (°), intensity
16.7, 100
21.8, 48
24.2, 52
25.9, 81
27.1, 98
34.5, 59

Crystal structure
Unit cell a=8.9737 b=6.5860 c=10.3894 alpha=90.00 beta=91.51 gamma=90.00
Sites, in units of the cell vectors:
Na 0.0000 0.2243 0.0000
Na 0.0000 0.7757 0.5000
Na 0.5164 0.2596 0.2440
Na 0.5164 0.7404 0.7440
Na 0.5172 0.2592 0.7466
Na 0.5172 0.7408 0.2466
Mn 0.1004 0.4974 0.7293
Mn 0.1004 0.5026 0.2293
Mn 0.4061 0.0027 0.5142
Mn 0.4061 0.9973 0.0142
P 0.1803 0.0003 0.2669
P 0.1803 0.9997 0.7669
P 0.3283 0.4976 0.9804
P 0.3283 0.5024 0.4804
C 0.6791 0.0029 0.4889
C 0.6791 0.9971 0.9889
C 0.8321 0.4982 0.2578
C 0.8321 0.5018 0.7578
O 0.0840 0.1878 0.7372
O 0.0840 0.8122 0.2372
O 0.0872 0.1879 0.2278
O 0.0872 0.8121 0.7278
O 0.1809 0.4909 0.0527
O 0.1809 0.5091 0.5527
O 0.2212 0.0004 0.4145
O 0.2212 0.9996 0.9145
O 0.2936 0.4987 0.8312
O 0.2936 0.5013 0.3312
O 0.3314 0.0026 0.6953
O 0.3314 0.9974 0.1953
O 0.4250 0.3155 0.5166
O 0.4250 0.6845 0.0166
O 0.4283 0.3117 0.0139
O 0.4283 0.6883 0.5139
O 0.5804 0.0041 0.3910
O 0.5804 0.9959 0.8910
O 0.6090 0.0028 0.5999
O 0.6090 0.9972 0.0999
O 0.6943 0.4993 0.2715
O 0.6943 0.5007 0.7715
O 0.8148 0.0012 0.4779
O 0.8148 0.9988 0.9779
O 0.8962 0.4889 0.1459
O 0.8962 0.5111 0.6459
O 0.9306 0.4925 0.8533
O 0.9306 0.5075 0.3533

***

No. 4
# Li7Mn5O12
Calculated X-ray powder pattern, Cu Kα X-rays. Input: a crystal structure in the Materials Project, relaxed with GGA+U.
Kinematic intensities with the Lorentz-polarization factor, no thermal factor.

Largest 6 diffraction maxima, by angle, 10° ≤ 2θ ≤ 80°:
2θ (°), intensity
18.2, 100
34.4, 15
36.2, 11
36.4, 11
41.2, 33
44.2, 55

Crystal structure
Unit cell a=5.8357 b=5.9686 c=14.6801 alpha=81.89 beta=84.08 gamma=60.90
Sites, in units of the cell vectors:
Li 0.0000 0.0000 0.0000
Li 0.0001 0.2501 0.5001
Li 0.0000 0.5000 0.0000
Li 0.9999 0.7499 0.4999
Li 0.1733 0.2472 0.8345
Li 0.1741 0.7466 0.8343
Li 0.3241 0.0210 0.6592
Li 0.3238 0.5214 0.6591
Li 0.4996 0.2504 0.5000
Li 0.5004 0.7496 0.5000
Li 0.6762 0.4786 0.3409
Li 0.6759 0.9790 0.3408
Li 0.8259 0.2534 0.1657
Li 0.8267 0.7528 0.1655
Mn 0.1600 0.4867 0.3407
Mn 0.1600 0.9867 0.3408
Mn 0.3381 0.2328 0.1695
Mn 0.3381 0.7330 0.1699
Mn 0.5000 0.0000 0.0000
Mn 0.5000 0.5000 0.0000
Mn 0.6619 0.2670 0.8301
Mn 0.6619 0.7672 0.8305
Mn 0.8400 0.0133 0.6592
Mn 0.8400 0.5133 0.6593
O 0.0328 0.3289 0.2594
O 0.0332 0.8290 0.2592
O 0.1447 0.3879 0.5901
O 0.1447 0.8882 0.5900
O 0.1854 0.1250 0.0835
O 0.1857 0.6239 0.0839
O 0.3121 0.1395 0.4070
O 0.3123 0.6394 0.4069
O 0.3462 0.8903 0.9149
O 0.3470 0.3905 0.9149
O 0.4787 0.3548 0.2510
O 0.4790 0.8556 0.2508
O 0.5210 0.1444 0.7492
O 0.5213 0.6452 0.7490
O 0.6530 0.6095 0.0851
O 0.6538 0.1097 0.0851
O 0.6877 0.3606 0.5931
O 0.6879 0.8605 0.5930
O 0.8143 0.3761 0.9161
O 0.8146 0.8750 0.9165
O 0.8553 0.1118 0.4100
O 0.8553 0.6121 0.4099
O 0.9668 0.1710 0.7408
O 0.9672 0.6711 0.7406

***

No. 5
# VCu6AgMo5O24
Calculated X-ray powder pattern, Cu Kα X-rays. Input: a crystal structure in the Materials Project, relaxed with GGA+U.
Kinematic intensities with the Lorentz-polarization factor, no thermal factor.

Largest 6 diffraction maxima, by angle, 10° ≤ 2θ ≤ 80°:
2θ (°), intensity
20.5, 51
25.5, 64
26.1, 100
28.2, 59
30.5, 80
32.6, 55

Crystal structure
Unit cell a=7.8956 b=8.2998 c=8.7969 alpha=115.56 beta=97.10 gamma=105.72
Sites, in units of the cell vectors:
V 0.0000 0.0000 0.0000
Cu 0.1018 0.3468 0.3596
Cu 0.1353 0.8064 0.6548
Cu 0.2626 0.7151 0.4018
Cu 0.3364 0.3887 0.0398
Cu 0.5334 0.6815 0.9698
Cu 0.9309 0.3219 0.6915
Ag 0.6526 0.1284 0.8388
Mo 0.1369 0.7150 0.0566
Mo 0.3819 0.2418 0.6423
Mo 0.6077 0.2080 0.3086
Mo 0.6341 0.6504 0.5921
Mo 0.8859 0.8561 0.3512
O 0.0067 0.5305 0.5114
O 0.0075 0.9160 0.1585
O 0.0418 0.7103 0.2741
O 0.1179 0.8524 0.8901
O 0.1408 0.2384 0.1012
O 0.2015 0.3941 0.8032
O 0.2135 0.0115 0.5966
O 0.2562 0.2821 0.4866
O 0.2646 0.5991 0.8609
O 0.2895 0.6287 0.1624
O 0.4170 0.9906 0.1744
O 0.4674 0.7657 0.5688
O 0.4840 0.3146 0.8810
O 0.5226 0.4230 0.3639
O 0.5592 0.1828 0.5299
O 0.5676 0.5508 0.7355
O 0.6772 0.7536 0.1872
O 0.7378 0.2824 0.1566
O 0.7947 0.9256 0.8411
O 0.8273 0.7688 0.5065
O 0.8291 0.1757 0.2133
O 0.8390 0.4526 0.5518
O 0.9035 0.0999 0.4800
O 0.9338 0.5010 0.9160

***

No. 6
# Mn2H2SO5
Calculated X-ray powder pattern, Cu Kα X-rays. Input: a crystal structure in the Materials Project, relaxed with GGA+U.
Kinematic intensities with the Lorentz-polarization factor, no thermal factor.

Largest 6 diffraction maxima, by angle, 10° ≤ 2θ ≤ 80°:
2θ (°), intensity
17.0, 35
21.0, 32
28.0, 100
30.0, 70
47.2, 37
56.1, 30

Crystal structure
Unit cell a=7.6210 b=10.4233 c=5.8134 alpha=90.00 beta=90.00 gamma=90.00
Sites, in units of the cell vectors:
Mn 0.0974 0.0551 0.2396
Mn 0.0974 0.4449 0.2396
Mn 0.4026 0.5551 0.7396
Mn 0.4026 0.9449 0.7396
Mn 0.5974 0.0551 0.2604
Mn 0.5974 0.4449 0.2604
Mn 0.9026 0.5551 0.7604
Mn 0.9026 0.9449 0.7604
H 0.1690 0.6476 0.0036
H 0.1690 0.8524 0.0036
H 0.3310 0.1476 0.5036
H 0.3310 0.3524 0.5036
H 0.6690 0.6476 0.4964
H 0.6690 0.8524 0.4964
H 0.8310 0.1476 0.9964
H 0.8310 0.3524 0.9964
S 0.1619 0.7500 0.4025
S 0.3381 0.2500 0.9025
S 0.6619 0.7500 0.0975
S 0.8381 0.2500 0.5975
O 0.0459 0.6315 0.4545
O 0.0459 0.8685 0.4545
O 0.1593 0.5614 0.9382
O 0.1593 0.9386 0.9382
O 0.1932 0.2500 0.0918
O 0.3068 0.7500 0.5918
O 0.3407 0.0614 0.4382
O 0.3407 0.4386 0.4382
O 0.4541 0.1315 0.9545
O 0.4541 0.3685 0.9545
O 0.5459 0.6315 0.0455
O 0.5459 0.8685 0.0455
O 0.6593 0.5614 0.5618
O 0.6593 0.9386 0.5618
O 0.6932 0.2500 0.4082
O 0.8068 0.7500 0.9082
O 0.8407 0.0614 0.0618
O 0.8407 0.4386 0.0618
O 0.9541 0.1315 0.5455
O 0.9541 0.3685 0.5455

***

No. 7
# NaMnH6C3S3N3O3
Calculated X-ray powder pattern, Cu Kα X-rays. Input: a crystal structure in the Materials Project, relaxed with GGA+U.
Kinematic intensities with the Lorentz-polarization factor, no thermal factor.

Largest 6 diffraction maxima, by angle, 10° ≤ 2θ ≤ 80°:
2θ (°), intensity
16.5, 38
17.3, 38
21.8, 61
29.8, 100
31.8, 30
46.9, 28

Crystal structure
Unit cell a=10.2483 b=10.2483 c=6.7254 alpha=90.00 beta=90.00 gamma=120.00
Sites, in units of the cell vectors:
Na 0.0000 0.0000 0.0000
Na 0.0000 0.0000 0.5000
Mn 0.3333 0.6667 0.4758
Mn 0.6667 0.3333 0.5242
H 0.0739 0.8113 0.2486
H 0.1018 0.2849 0.7383
H 0.1831 0.8982 0.7383
H 0.1887 0.2626 0.2486
H 0.2626 0.0739 0.7514
H 0.2849 0.1831 0.2617
H 0.7151 0.8169 0.7383
H 0.7374 0.9261 0.2486
H 0.8113 0.7374 0.7514
H 0.8169 0.1018 0.2617
H 0.8982 0.7151 0.2617
H 0.9261 0.1887 0.7514
C 0.0229 0.6028 0.7059
C 0.3972 0.4202 0.7059
C 0.4202 0.0229 0.2941
C 0.5798 0.9771 0.7059
C 0.6028 0.5798 0.2941
C 0.9771 0.3972 0.2941
S 0.1427 0.4634 0.1918
S 0.3207 0.8573 0.1918
S 0.4634 0.3207 0.8082
S 0.5366 0.6793 0.1918
S 0.6793 0.1427 0.8082
S 0.8573 0.5366 0.8082
N 0.1438 0.6524 0.6333
N 0.3476 0.4914 0.6333
N 0.4914 0.1438 0.3667
N 0.5086 0.8562 0.6333
N 0.6524 0.5086 0.3667
N 0.8562 0.3476 0.3667
O 0.0183 0.1812 0.7452
O 0.1629 0.9817 0.7452
O 0.1812 0.1629 0.2548
O 0.8188 0.8371 0.7452
O 0.8371 0.0183 0.2548
O 0.9817 0.8188 0.2548

***

No. 8
# CoP4O12
Calculated X-ray powder pattern, Cu Kα X-rays. Input: a crystal structure in the Materials Project, relaxed with GGA+U.
Kinematic intensities with the Lorentz-polarization factor, no thermal factor.

Largest 6 diffraction maxima, by angle, 10° ≤ 2θ ≤ 80°:
2θ (°), intensity
11.4, 100
14.9, 34
17.8, 59
18.8, 42
23.9, 79
26.0, 49

Crystal structure
Unit cell a=8.3835 b=8.3835 c=7.6689 alpha=96.93 beta=96.93 gamma=109.67
Sites, in units of the cell vectors:
Co 0.1317 0.8683 0.7500
Co 0.8683 0.1317 0.2500
P 0.0472 0.2016 0.6649
P 0.2016 0.0472 0.1649
P 0.2423 0.5639 0.8726
P 0.4361 0.7577 0.6274
P 0.5639 0.2423 0.3726
P 0.7577 0.4361 0.1274
P 0.7984 0.9528 0.8351
P 0.9528 0.7984 0.3351
O 0.0017 0.2648 0.4978
O 0.0794 0.1447 0.1577
O 0.1091 0.6426 0.8182
O 0.1227 0.8773 0.2500
O 0.1447 0.0794 0.6577
O 0.1577 0.3602 0.8194
O 0.2648 0.0017 0.9978
O 0.3330 0.6093 0.0619
O 0.3574 0.8909 0.6818
O 0.3602 0.1577 0.3194
O 0.3911 0.6089 0.7500
O 0.3907 0.6670 0.4381
O 0.6093 0.3330 0.5619
O 0.6089 0.3911 0.2500
O 0.6398 0.8423 0.6806
O 0.6426 0.1091 0.3182
O 0.6670 0.3907 0.9381
O 0.7352 0.9983 0.0022
O 0.8423 0.6398 0.1806
O 0.8553 0.9206 0.3423
O 0.8773 0.1227 0.7500
O 0.8909 0.3574 0.1818
O 0.9206 0.8553 0.8423
O 0.9983 0.7352 0.5022